Calculated X-ray diffraction stick pattern of KZrCd2 for Cu Kα X-rays, from a PBE-relaxed structure.

Principal peaks in the range 2θ from 10° to 90°, in order of falling intensity:
Position (°2θ)  I (rel.)  hkl
32.55  100  1 0 2
38.12  39  1 1 0
38.75  29  1 0 3
65.40  24  2 1 2
55.01  13  2 0 0
54.20  11  1 1 4
61.88  11  1 1 5
69.31  10  2 1 3
37.04  9  0 0 4
39.28  7  1 1 1

Atomic structure:
a b c (Å): 3.3386 3.3386 9.7075
angles (deg): 90.00 90.00 90.00
Positions (direct):
K (0.0000, 0.0000, 0.0000)
Zr (0.0000, 0.0000, 0.5000)
Cd (0.5000, 0.5000, 0.2946)
Cd (0.5000, 0.5000, 0.7054)